The following is a simulated X-ray diffraction stick pattern of Cs2PaNiO6. It was derived from a DFT-relaxed cell (PBE+U, Alexandria), using Cu Ka.

Atomic structure:
```
Cs2PaNiO6
1.0
-3.0560 3.0560 4.3106
3.0560 -3.0560 4.3106
3.0560 3.0560 -4.3106
Cs Pa Ni O
2 1 1 6
Direct
0.2500 0.7500 0.5000
0.7500 0.2500 0.5000
0.0000 0.0000 0.0000
0.5000 0.5000 0.0000
0.2494 0.2494 0.4989
0.2494 0.7506 0.0000
0.2511 0.2511 0.0000
0.7489 0.7489 0.0000
0.7506 0.2494 0.0000
0.7506 0.7506 0.5011
```

Most intense lines, 10 to 90 degrees two-theta, low angle first:
d_spacing  two_theta  Rel. int.
4.986  17.8  20.2
3.053  29.2  100.0
2.604  34.4  12.5
2.161  41.8  19.8
2.155  41.9  9.8
1.763  51.9  41.4
1.527  60.7  18.8
1.367  68.7  12.1
1.155  83.8  14.5
1.153  83.9  7.2